Calculated powder X-ray diffraction pattern of K8Li3Fe4O16 for Cu Kα, from a structure optimized by DFT (PBE+U).

Cell and atoms:
```
data_K8Li3Fe4O16
_cell_length_a 5.6815
_cell_length_b 8.2969
_cell_length_c 11.1391
_cell_angle_alpha 84.32
_cell_angle_beta 86.70
_cell_angle_gamma 89.97
_symmetry_space_group_name_H-M 'P 1'
_symmetry_Int_Tables_number 1
loop_
_symmetry_equiv_pos_as_xyz
'x,y,z'
loop_
_atom_site_label
_atom_site_type_symbol
_atom_site_fract_x
_atom_site_fract_y
_atom_site_fract_z
K1 K 0.0000 0.0000 0.0000
K2 K 0.9995 0.2194 0.6311
K3 K 0.4663 0.7177 0.9179
K4 K 0.4814 0.9585 0.5992
K5 K 0.5097 0.2620 0.1070
K6 K 0.5150 0.4360 0.4276
K7 K 0.9864 0.5428 0.1160
K8 K 0.9962 0.7674 0.4197
Li1 Li 0.0318 0.4291 0.8472
Li2 Li 0.4186 0.5000 0.7085
Li3 Li 0.5820 0.0080 0.3185
Fe1 Fe 0.0464 0.2182 0.3265
Fe2 Fe 0.4550 0.7661 0.2139
Fe3 Fe 0.5209 0.2296 0.8205
Fe4 Fe 0.9261 0.6981 0.7209
O1 O 0.0078 0.2272 0.1774
O2 O 0.0110 0.4050 0.3724
O3 O 0.0916 0.5357 0.6738
O4 O 0.1669 0.7951 0.1839
O5 O 0.3282 0.1603 0.3571
O6 O 0.3612 0.3851 0.8848
O7 O 0.3999 0.0397 0.8408
O8 O 0.4981 0.7772 0.3674
O9 O 0.5058 0.2768 0.6629
O10 O 0.5153 0.5805 0.1592
O11 O 0.6171 0.9336 0.1548
O12 O 0.6327 0.6788 0.6876
O13 O 0.7972 0.2557 0.8769
O14 O 0.8359 0.0959 0.4023
O15 O 0.9665 0.6629 0.8765
O16 O 0.9923 0.8841 0.6448
```

Top 12 peaks for 15 to 90 degrees two-theta, sorted by position:
2θ/deg  d/Å  Rel. int.
16.0  5.533  26
20.5  4.329  31
21.5  4.135  83
25.6  3.478  21
27.1  3.293  54
28.1  3.177  38
28.2  3.162  76
30.7  2.911  49
31.5  2.836  100
32.4  2.766  26
35.2  2.548  35
46.6  1.951  20